Record 1
# Ce2Zn2Cd3
Theoretical XRD peak list, Cu Kα, 1.54184 Å. Input: a PBE-relaxed structure.
No peak broadening, texture or thermal motion is included.

Structural model:
Lattice parameters (Å, degrees): 11.1381 11.1381 3.1520 90.00 90.00 156.00
Atoms (fractional coordinates):
1 Ce 0.1591 0.8409 0.0000
2 Ce 0.8409 0.1591 0.0000
3 Zn 0.2816 0.7184 0.5000
4 Zn 0.7184 0.2816 0.5000
5 Cd 0.0000 0.0000 0.0000
6 Cd 0.4271 0.5729 0.5000
7 Cd 0.5729 0.4271 0.5000

Main lines, most intense first (2θ = 15–90°):
2θ (°)	I/Imax
34.69	100.0
37.79	33.6
38.88	21.7
55.34	21.6
66.30	14.4
67.73	13.5
69.92	12.0
28.11	8.9
72.57	8.8
36.64	6.7



Record 2
# CeZn3Cd3
Theoretical XRD peak list, Cu Kα, 1.54184 Å. Input: a PBE-relaxed structure.
No peak broadening, texture or thermal motion is included.

Structural model:
Lattice parameters (Å, degrees): 8.3954 4.7730 8.4136 90.00 119.90 90.00
Atoms (fractional coordinates):
1 Ce 0.1658 0.2500 0.3328
2 Ce 0.8342 0.7500 0.6672
3 Zn 0.0095 0.2500 0.9116
4 Zn 0.0982 0.7500 0.5090
5 Zn 0.4113 0.7500 0.4022
6 Zn 0.5887 0.2500 0.5978
7 Zn 0.9018 0.2500 0.4910
8 Zn 0.9905 0.7500 0.0884
9 Cd 0.2600 0.2500 0.7849
10 Cd 0.2859 0.7500 0.0254
11 Cd 0.4752 0.7500 0.7603
12 Cd 0.5248 0.2500 0.2397
13 Cd 0.7141 0.2500 0.9746
14 Cd 0.7400 0.7500 0.2151

Main lines, most intense first (2θ = 15–90°):
2θ (°)	I/Imax
37.72	100.0
32.53	24.5
30.89	19.1
68.07	14.3
50.63	13.7
41.75	8.9
71.25	8.3
28.29	7.9
71.35	6.7
57.98	5.6



Record 3
# Ce2ZnCd3
Theoretical XRD peak list, Cu Kα, 1.54184 Å. Input: a PBE-relaxed structure.
No peak broadening, texture or thermal motion is included.

Structural model:
Lattice parameters (Å, degrees): 3.2564 5.0308 8.7220 90.00 90.00 90.00
Atoms (fractional coordinates):
1 Ce 0.0000 0.0000 0.0000
2 Ce 0.0000 0.5000 0.4809
3 Zn 0.5000 0.0000 0.3244
4 Cd 0.5000 0.0000 0.6515
5 Cd 0.5000 0.5000 0.1597
6 Cd 0.5000 0.5000 0.8215

Main lines, most intense first (2θ = 15–90°):
2θ (°)	I/Imax
34.38	100.0
35.68	91.1
50.38	32.8
63.26	32.1
68.66	25.6
64.09	15.5
85.72	13.5
75.57	9.4
56.52	7.9
20.37	4.9



Record 4
# CeZrCd4
Theoretical XRD peak list, Cu Kα, 1.54184 Å. Input: a PBE-relaxed structure.
No peak broadening, texture or thermal motion is included.

Structural model:
Lattice parameters (Å, degrees): 5.8319 5.8319 5.8319 60.00 60.00 60.00
Atoms (fractional coordinates):
1 Ce 0.0000 0.0000 0.0000
2 Zr 0.7500 0.7500 0.7500
3 Cd 0.3754 0.3754 0.3754
4 Cd 0.3754 0.3754 0.8737
5 Cd 0.3754 0.8737 0.3754
6 Cd 0.8737 0.3754 0.3754

Main lines, most intense first (2θ = 15–90°):
2θ (°)	I/Imax
36.12	100.0
37.79	40.1
58.12	32.4
63.84	27.5
30.66	26.9
76.64	14.1
75.60	10.9
54.51	10.4
18.63	5.7
88.77	5.3



Record 5
# CdCl5
Theoretical XRD peak list, Cu Kα, 1.54184 Å. Input: a PBE-relaxed structure.
No peak broadening, texture or thermal motion is included.

Structural model:
Lattice parameters (Å, degrees): 3.8762 5.3656 9.1133 90.00 99.71 90.00
Atoms (fractional coordinates):
1 Cd 0.0000 0.0000 0.0000
2 Cl 0.0004 0.5000 0.9970
3 Cl 0.4177 0.0000 0.7996
4 Cl 0.4809 0.5000 0.6075
5 Cl 0.5073 0.5000 0.3931
6 Cl 0.5818 0.0000 0.1993

Main lines, most intense first (2θ = 15–90°):
2θ (°)	I/Imax
19.27	100.0
26.85	45.2
33.40	42.2
23.72	27.2
34.85	26.7
27.99	23.0
43.36	22.4
38.76	22.0
19.77	21.3
37.34	20.9



Record 6
# CdCl2
Theoretical XRD peak list, Cu Kα, 1.54184 Å. Input: a PBE-relaxed structure.
No peak broadening, texture or thermal motion is included.

Structural model:
Lattice parameters (Å, degrees): 6.7235 6.7235 6.7235 33.73 33.73 33.73
Atoms (fractional coordinates):
1 Cd 0.0000 0.0000 0.0000
2 Cl 0.2574 0.2574 0.2574
3 Cl 0.7426 0.7426 0.7426

Main lines, most intense first (2θ = 15–90°):
2θ (°)	I/Imax
32.52	100.0
26.80	59.6
46.56	34.5
46.74	32.4
48.85	27.6
42.72	25.1
35.55	22.1
57.94	16.9
77.38	14.0
77.66	12.5



Record 7
# Cd2Cl13
Theoretical XRD peak list, Cu Kα, 1.54184 Å. Input: a PBE-relaxed structure.
No peak broadening, texture or thermal motion is included.

Structural model:
Lattice parameters (Å, degrees): 7.5641 7.5641 7.5641 88.26 88.26 88.26
Atoms (fractional coordinates):
1 Cd 0.1886 0.1886 0.1886
2 Cd 0.8114 0.8114 0.8114
3 Cl 0.0000 0.0000 0.0000
4 Cl 0.1200 0.1200 0.5194
5 Cl 0.1200 0.5194 0.1200
6 Cl 0.3157 0.3157 0.6386
7 Cl 0.3157 0.6386 0.3157
8 Cl 0.3614 0.6843 0.6843
9 Cl 0.4806 0.8800 0.8800
10 Cl 0.5194 0.1200 0.1200
11 Cl 0.6386 0.3157 0.3157
12 Cl 0.6843 0.3614 0.6843
13 Cl 0.6843 0.6843 0.3614
14 Cl 0.8800 0.4806 0.8800
15 Cl 0.8800 0.8800 0.4806

Main lines, most intense first (2θ = 15–90°):
2θ (°)	I/Imax
26.69	100.0
16.83	66.3
38.77	32.0
50.48	30.1
34.04	29.2
26.05	27.7
37.98	25.7
16.34	20.5
52.09	20.4
34.66	17.4



Record 8
# CdCl2
Theoretical XRD peak list, Cu Kα, 1.54184 Å. Input: a PBE-relaxed structure.
No peak broadening, texture or thermal motion is included.

Structural model:
Lattice parameters (Å, degrees): 12.8462 12.8462 12.8462 17.46 17.46 17.46
Atoms (fractional coordinates):
1 Cd 0.0000 0.0000 0.0000
2 Cd 0.5000 0.5000 0.5000
3 Cl 0.1286 0.1286 0.1286
4 Cl 0.2953 0.2953 0.2953
5 Cl 0.7047 0.7047 0.7047
6 Cl 0.8714 0.8714 0.8714

Main lines, most intense first (2θ = 15–90°):
2θ (°)	I/Imax
32.55	100.0
35.59	96.4
28.05	80.3
46.58	73.9
26.82	68.9
42.78	63.0
48.89	62.9
46.81	43.5
28.94	29.7
65.13	29.0



Record 9
# RbCd2CoCl8
Theoretical XRD peak list, Cu Kα, 1.54184 Å. Input: a PBE-relaxed structure.
No peak broadening, texture or thermal motion is included.

Structural model:
Lattice parameters (Å, degrees): 6.2879 6.2879 9.4474 93.52 93.52 66.50
Atoms (fractional coordinates):
1 Rb 0.0000 0.0000 0.0000
2 Cd 0.3566 0.3566 0.6819
3 Cd 0.6434 0.6434 0.3181
4 Co 0.0000 0.0000 0.5000
5 Cl 0.1981 0.7376 0.3297
6 Cl 0.2093 0.2093 0.4609
7 Cl 0.2624 0.8019 0.6703
8 Cl 0.3159 0.3159 0.9296
9 Cl 0.6841 0.6841 0.0704
10 Cl 0.7376 0.1981 0.3297
11 Cl 0.7907 0.7907 0.5391
12 Cl 0.8019 0.2624 0.6703

Main lines, most intense first (2θ = 15–90°):
2θ (°)	I/Imax
32.13	100.0
28.63	97.5
23.91	79.9
18.37	79.5
25.84	61.1
42.02	50.0
17.72	48.1
28.42	40.9
37.24	39.9
48.95	31.0



Record 10
# Cs2Cd2Cl7
Theoretical XRD peak list, Cu Kα, 1.54184 Å. Input: a PBE-relaxed structure.
No peak broadening, texture or thermal motion is included.

Structural model:
Lattice parameters (Å, degrees): 6.6803 6.6803 8.0252 90.00 90.00 99.65
Atoms (fractional coordinates):
1 Cs 0.2246 0.2246 0.0000
2 Cs 0.7754 0.7754 0.0000
3 Cd 0.2709 0.7291 0.5000
4 Cd 0.7291 0.2709 0.5000
5 Cl 0.0000 0.0000 0.5000
6 Cl 0.0000 0.5000 0.2880
7 Cl 0.0000 0.5000 0.7120
8 Cl 0.5000 0.0000 0.2880
9 Cl 0.5000 0.0000 0.7120
10 Cl 0.5000 0.5000 0.2971
11 Cl 0.5000 0.5000 0.7029

Main lines, most intense first (2θ = 15–90°):
2θ (°)	I/Imax
35.23	100.0
20.62	81.5
23.43	71.4
42.69	30.5
39.65	21.7
54.03	20.6
41.94	19.7
22.15	17.6
47.16	17.1
37.98	13.3



Record 11
# CsCdCl3
Theoretical XRD peak list, Cu Kα, 1.54184 Å. Input: a PBE-relaxed structure.
No peak broadening, texture or thermal motion is included.

Structural model:
Lattice parameters (Å, degrees): 7.5094 7.5094 6.6317 90.00 90.00 120.00
Atoms (fractional coordinates):
1 Cs 0.3333 0.6667 0.2500
2 Cs 0.6667 0.3333 0.7500
3 Cd 0.0000 0.0000 0.0000
4 Cd 0.0000 0.0000 0.5000
5 Cl 0.1609 0.3218 0.7500
6 Cl 0.1609 0.8391 0.7500
7 Cl 0.3218 0.1609 0.2500
8 Cl 0.6782 0.8391 0.7500
9 Cl 0.8391 0.1609 0.2500
10 Cl 0.8391 0.6782 0.2500

Main lines, most intense first (2θ = 15–90°):
2θ (°)	I/Imax
30.62	100.0
23.70	96.8
38.79	65.8
30.26	59.6
19.11	50.1
45.96	43.8
48.49	37.5
49.88	23.0
41.66	21.9
76.68	18.5



Record 12
# Cs3Cd2Cl2F5
Theoretical XRD peak list, Cu Kα, 1.54184 Å. Input: a PBE-relaxed structure.
No peak broadening, texture or thermal motion is included.

Structural model:
Lattice parameters (Å, degrees): 13.2382 13.2382 13.2382 159.43 159.43 29.25
Atoms (fractional coordinates):
1 Cs 0.0000 0.0000 0.0000
2 Cs 0.1694 0.1694 0.0000
3 Cs 0.8306 0.8306 0.0000
4 Cd 0.4127 0.4127 0.0000
5 Cd 0.5873 0.5873 0.0000
6 Cl 0.3119 0.3119 0.0000
7 Cl 0.6881 0.6881 0.0000
8 F 0.0855 0.5855 0.5000
9 F 0.4145 0.9145 0.5000
10 F 0.5000 0.5000 0.0000
11 F 0.5855 0.0855 0.5000
12 F 0.9145 0.4145 0.5000

Main lines, most intense first (2θ = 15–90°):
2θ (°)	I/Imax
26.67	100.0
25.64	88.3
38.08	59.6
30.90	59.5
46.47	35.9
49.82	30.4
58.24	25.4
34.07	25.0
50.74	24.8
54.95	19.3



Record 13
# Cs2CdH2Cl6
Theoretical XRD peak list, Cu Kα, 1.54184 Å. Input: a PBE-relaxed structure.
No peak broadening, texture or thermal motion is included.

Structural model:
Lattice parameters (Å, degrees): 7.1897 7.1897 8.7820 120.67 120.67 64.10
Atoms (fractional coordinates):
1 Cs 0.2490 0.2490 0.2485
2 Cs 0.7510 0.7510 0.7515
3 Cd 0.5000 0.5000 0.0000
4 H 0.1182 0.1182 0.7334
5 H 0.8818 0.8818 0.2666
6 Cl 0.1940 0.1940 0.6739
7 Cl 0.2437 0.7180 0.1916
8 Cl 0.2820 0.7563 0.8084
9 Cl 0.7180 0.2437 0.1916
10 Cl 0.7563 0.2820 0.8084
11 Cl 0.8060 0.8060 0.3261

Main lines, most intense first (2θ = 15–90°):
2θ (°)	I/Imax
31.20	100.0
22.79	72.6
25.13	52.8
20.45	43.5
29.75	40.2
23.31	29.8
36.94	24.9
25.40	23.9
35.67	23.0
46.57	22.1



Record 14
# Cs2CdHgCl6
Theoretical XRD peak list, Cu Kα, 1.54184 Å. Input: a PBE-relaxed structure.
No peak broadening, texture or thermal motion is included.

Structural model:
Lattice parameters (Å, degrees): 7.6317 7.6317 7.6317 119.14 119.14 91.50
Atoms (fractional coordinates):
1 Cs 0.2500 0.7500 0.5000
2 Cs 0.7500 0.2500 0.5000
3 Cd 0.0000 0.0000 0.0000
4 Hg 0.5000 0.5000 0.0000
5 Cl 0.2363 0.2363 0.4726
6 Cl 0.2363 0.7637 0.0000
7 Cl 0.2685 0.2685 0.0000
8 Cl 0.7315 0.7315 0.0000
9 Cl 0.7637 0.2363 0.0000
10 Cl 0.7637 0.7637 0.5274

Main lines, most intense first (2θ = 15–90°):
2θ (°)	I/Imax
23.32	100.0
32.76	51.9
23.01	51.4
40.61	47.3
47.68	34.0
33.66	23.9
41.17	22.4
47.02	17.9
59.06	17.4
63.83	13.0